Entry 1:
Structure and computed powder X-ray diffraction pattern of Ba3SnSb4 (a GGA-PBE-relaxed structure; Cu Kα (λ = 1.5418 Å)).

Principal peaks in the range 5 to 70 degrees two-theta, by angle:
- 22.6°, I 75
- 23.2°, I 34
- 24.3°, I 76
- 29.0°, I 38
- 30.0°, I 31
- 32.1°, I 55
- 33.4°, I 100
- 35.1°, I 31
- 40.1°, I 53
- 52.8°, I 39

Structure:
Cell lengths 6.1512, 15.3397, 7.3264 Å; angles 90.00, 90.00, 90.00 degrees
Element x y z (fractional)
1 Ba 0.0000 0.0000 0.0000
2 Ba 0.0000 0.2957 0.9180
3 Ba 0.0000 0.7043 0.9180
4 Ba 0.5000 0.2043 0.4180
5 Ba 0.5000 0.5000 0.5000
6 Ba 0.5000 0.7957 0.4180
7 Sn 0.0000 0.5000 0.2512
8 Sn 0.5000 0.0000 0.7512
9 Sb 0.0000 0.3348 0.4301
10 Sb 0.0000 0.6652 0.4301
11 Sb 0.2302 0.0000 0.4361
12 Sb 0.2698 0.5000 0.9361
13 Sb 0.5000 0.1652 0.9301
14 Sb 0.5000 0.8348 0.9301
15 Sb 0.7302 0.5000 0.9361
16 Sb 0.7698 0.0000 0.4361

***

Entry 2:
Structure and computed powder X-ray diffraction pattern of Dy8Tm6In (a GGA-PBE-relaxed structure; Cu Kα (λ = 1.5418 Å)).

Principal peaks in the range 5 to 70 degrees two-theta, by angle:
- 31.1°, I 44
- 32.0°, I 100
- 32.2°, I 61
- 33.3°, I 47
- 33.5°, I 21
- 35.7°, I 22
- 37.5°, I 21
- 54.5°, I 20
- 56.5°, I 19
- 61.7°, I 15

Structure:
Cell lengths 8.4354, 8.4354, 8.4354 Å; angles 63.59, 63.59, 63.59 degrees
Element x y z (fractional)
1 Dy 0.0759 0.0759 0.0759
2 Dy 0.2139 0.2515 0.6084
3 Dy 0.2515 0.6084 0.2139
4 Dy 0.3916 0.7861 0.7485
5 Dy 0.6084 0.2139 0.2515
6 Dy 0.7485 0.3916 0.7861
7 Dy 0.7861 0.7485 0.3916
8 Dy 0.9241 0.9241 0.9241
9 Tm 0.0491 0.7354 0.6041
10 Tm 0.2646 0.3959 0.9509
11 Tm 0.3959 0.9509 0.2646
12 Tm 0.6041 0.0491 0.7354
13 Tm 0.7354 0.6041 0.0491
14 Tm 0.9509 0.2646 0.3959
15 In 0.5000 0.5000 0.5000

***

Entry 3:
Structure and computed powder X-ray diffraction pattern of Rb3Br (a GGA-PBE-relaxed structure; Cu Kα (λ = 1.5418 Å)).

Principal peaks in the range 5 to 70 degrees two-theta, by angle:
- 7.0°, I 65
- 14.1°, I 23
- 20.1°, I 69
- 21.2°, I 37
- 24.1°, I 66
- 28.1°, I 100
- 28.5°, I 24
- 30.8°, I 43
- 34.7°, I 50
- 40.7°, I 27

Structure:
Cell lengths 4.5531, 4.7209, 12.5504 Å; angles 90.00, 90.00, 90.00 degrees
Element x y z (fractional)
1 Rb 0.0000 0.0000 0.0000
2 Rb 0.0000 0.5000 0.3235
3 Rb 0.5000 0.5000 0.6860
4 Br 0.5000 0.0000 0.2195